(1)
The following is a theoretical powder diffraction line list of BeHgBr4. It was derived from a GGA-PBE-relaxed structure, using Cu Ka.
Neutral-atom scattering factors, no anomalous dispersion.

Top 10 peaks for 10 to 90 degrees two-theta, by angle:
d [Å]  I (rel.)  index
7.433  62  1 0 0
5.256  27  1 1 0
4.766  100  0 0 2
4.012  31  1 0 2
3.324  26  2 1 0
2.726  31  2 1 2
2.628  37  2 2 0
2.301  51  2 2 2
1.765  22  2 2 4
1.731  22  4 0 2

Atomic structure:
Lattice parameters (Å, degrees): 7.4325 7.4325 9.5319 90.00 90.00 90.00
Space group P4_2/mmc (No. 131)
Asymmetric unit:
Be: 0.0000 0.5000 0.0000 (multiplicity 2)
Hg: 0.0000 0.0000 0.0000 (multiplicity 2)
Br: 0.2268 0.2851 0.0000 (multiplicity 8)

=====

(2)
The following is a theoretical powder diffraction line list of Rb2BeI6Br. It was derived from a GGA-PBE-relaxed structure, using Cu Ka.
Neutral-atom scattering factors, no anomalous dispersion.

Top 10 peaks for 10 to 90 degrees two-theta, by angle:
d [Å]  I (rel.)  index
3.568  17  1 0 3
3.489  100  2 0 2
3.067  60  2 2 0
2.935  17  0 0 4
2.755  13  2 1 3
2.169  22  4 0 0
2.121  27  2 2 4
1.842  32  4 2 2
1.744  14  4 0 4
1.372  10  6 2 0

Atomic structure:
Lattice parameters (Å, degrees): 8.6755 8.6755 11.7412 90.00 90.00 90.00
Space group I4/mmm (No. 139)
Asymmetric unit:
Rb: 0.0000 0.5000 0.2500 (multiplicity 4)
Be: 0.0000 0.0000 0.0000 (multiplicity 2)
I: 0.0000 0.0000 0.1949 (multiplicity 4)
I: 0.2440 0.2440 0.5000 (multiplicity 8)
Br: 0.0000 0.0000 0.5000 (multiplicity 2)

=====

(3)
The following is a theoretical powder diffraction line list of BeIn2Br4. It was derived from a GGA-PBE-relaxed structure, using Cu Ka.
Neutral-atom scattering factors, no anomalous dispersion.

Top 10 peaks for 10 to 90 degrees two-theta, by angle:
d [Å]  I (rel.)  index
5.184  28  1 1 -1
3.310  100  1 3 0
3.158  46  1 1 -2
2.917  37  2 2 -1
2.858  20  2 0 -2
2.586  21  2 2 -2
2.564  26  0 2 2
2.544  17  1 3 -2
2.235  18  1 5 -1
1.896  18  1 3 2

Atomic structure:
Lattice parameters (Å, degrees): 6.6509 12.1427 6.5426 90.00 120.13 90.00
Space group Cm (No. 8)
Asymmetric unit:
Be: 0.0000 0.0000 0.0000 (multiplicity 2)
In: 0.2883 0.1946 0.5442 (multiplicity 4)
Br: 0.1495 0.5000 0.6766 (multiplicity 2)
Br: 0.1961 0.1475 0.0111 (multiplicity 4)
Br: 0.4455 0.5000 0.3067 (multiplicity 2)

=====

(4)
The following is a theoretical powder diffraction line list of BeInBr2. It was derived from a GGA-PBE-relaxed structure, using Cu Ka.
Neutral-atom scattering factors, no anomalous dispersion.

Top 10 peaks for 10 to 90 degrees two-theta, by angle:
d [Å]  I (rel.)  index
5.818  64  0 0 6
3.879  59  0 0 9
2.969  100  1 0 1
2.937  27  0 1 2
2.558  73  1 0 7
2.461  96  0 1 8
1.760  33  1 0 16
1.720  31  1 1 0
1.573  26  1 1 9
1.383  22  1 1 15

Atomic structure:
Lattice parameters (Å, degrees): 3.4407 3.4407 34.9102 90.00 90.00 120.00
Space group R-3m (No. 166, hexagonal axes)
Asymmetric unit:
Be: 0.0000 0.0000 0.0000 (multiplicity 3)
In: 0.0000 0.0000 0.5000 (multiplicity 3)
Br: 0.0000 0.0000 0.3730 (multiplicity 6)